(1)
Diffraction record for Tb14YTm. The powder diffractogram is theoretical, not measured: it uses the GGA-PBE geometry in Alexandria and copper Kα.

Peak list (12 most intense, 2θ from 10° to 80°, in order of rising 2θ)
- (0 0 4), 2θ = 28.9°, I = 9
- (1 0 4), 2θ = 29.9°, I = 40
- (4 0 0), 2θ = 31.1°, I = 34
- (2 2 2), 2θ = 32.9°, I = 100
- (3 0 4), 2θ = 37.4°, I = 22
- (4 0 4), 2θ = 43.0°, I = 6
- (5 0 4), 2θ = 49.4°, I = 10
- (0 4 0), 2θ = 51.1°, I = 25
- (6 2 2), 2θ = 56.5°, I = 21
- (4 4 0), 2θ = 61.1°, I = 30
- (2 0 8), 2θ = 62.2°, I = 16
- (6 0 8), 2θ = 79.7°, I = 8

Structure:
```
data_Tb14YTm
_chemical_formula_sum 'Tb28 Y2 Tm2'
_cell_length_a 11.494
_cell_length_b 7.146
_cell_length_c 12.369
_cell_angle_alpha 90.00
_cell_angle_beta 90.00
_cell_angle_gamma 90.00
_space_group_name_H-M_alt 'A m m 2'
_space_group_IT_number 38
loop_
_space_group_symop_operation_xyz
'x,y,z'
'-x,-y,z'
'-x,y,z'
'x,-y,z'
'x,y+1/2,z+1/2'
'-x,-y+1/2,z+1/2'
'-x,y+1/2,z+1/2'
'x,-y+1/2,z+1/2'
loop_
_atom_site_label
_atom_site_type_symbol
_atom_site_fract_x
_atom_site_fract_y
_atom_site_fract_z
Tb1 Tb 0.000 0.000 0.000
Tb2 Tb 0.000 0.000 0.500
Tb3 Tb 0.000 0.250 0.250
Tb4 Tb 0.249 0.000 0.333
Tb5 Tb 0.251 0.000 0.833
Tb6 Tb 0.251 0.249 0.583
Tb7 Tb 0.500 0.249 0.416
Y1 Y 0.500 0.000 0.166
Tm1 Tm 0.500 0.000 0.666
```



(2)
Diffraction record for Tb3Y8Tm. The powder diffractogram is theoretical, not measured: it uses the GGA-PBE geometry in Alexandria and copper Kα.

Peak list (12 most intense, 2θ from 10° to 80°, in order of rising 2θ)
- (0 2 0), 2θ = 30.7°, I = 100
- (2 0 0), 2θ = 30.8°, I = 99
- (1 1 -3), 2θ = 35.4°, I = 36
- (1 1 3), 2θ = 35.8°, I = 66
- (2 2 0), 2θ = 51.2°, I = 35
- (-3 1 3), 2θ = 51.3°, I = 12
- (-1 3 3), 2θ = 51.4°, I = 12
- (2 0 -6), 2θ = 60.6°, I = 21
- (1 3 3), 2θ = 61.1°, I = 14
- (3 1 3), 2θ = 61.2°, I = 27
- (4 -2 0), 2θ = 61.4°, I = 14
- (0 4 0), 2θ = 64.0°, I = 12

Structure:
```
data_Tb3Y8Tm
_chemical_formula_sum 'Tb3 Y8 Tm1'
_cell_length_a 6.139
_cell_length_b 6.162
_cell_length_c 10.714
_cell_angle_alpha 90.24
_cell_angle_beta 90.44
_cell_angle_gamma 109.09
_space_group_name_H-M_alt 'P -1'
_space_group_IT_number 2
loop_
_space_group_symop_operation_xyz
'x,y,z'
'-x,-y,-z'
loop_
_atom_site_label
_atom_site_type_symbol
_atom_site_fract_x
_atom_site_fract_y
_atom_site_fract_z
Tb1 Tb 0.000 0.000 0.000
Tb2 Tb 0.000 0.500 0.500
Tb3 Tb 0.500 0.000 0.500
Y1 Y 0.000 0.000 0.333
Y2 Y 0.000 0.500 0.166
Y3 Y 0.500 0.000 0.166
Y4 Y 0.500 0.500 0.333
Tm1 Tm 0.500 0.500 0.000
```



(3)
Diffraction record for Tb3Y4Tm5. The powder diffractogram is theoretical, not measured: it uses the GGA-PBE geometry in Alexandria and copper Kα.

Peak list (12 most intense, 2θ from 10° to 80°, in order of rising 2θ)
- (0 0 1), 2θ = 10.2°, I = 3
- (0 1 1), 2θ = 16.2°, I = 2
- (1 2 1), 2θ = 31.0°, I = 100
- (2 0 2), 2θ = 35.9°, I = 51
- (3 2 0), 2θ = 51.7°, I = 30
- (2 0 -4), 2θ = 51.8°, I = 6
- (4 0 1), 2θ = 61.5°, I = 25
- (3 2 -3), 2θ = 61.6°, I = 18
- (2 4 2), 2θ = 64.5°, I = 3
- (0 0 6), 2θ = 64.7°, I = 9
- (4 0 4), 2θ = 76.2°, I = 2
- (2 4 -4), 2θ = 76.2°, I = 4

Structure:
```
data_Tb3Y4Tm5
_chemical_formula_sum 'Tb3 Y4 Tm5'
_cell_length_a 6.119
_cell_length_b 7.073
_cell_length_c 8.648
_cell_angle_alpha 89.94
_cell_angle_beta 89.90
_cell_angle_gamma 89.93
_space_group_name_H-M_alt 'P -1'
_space_group_IT_number 2
loop_
_space_group_symop_operation_xyz
'x,y,z'
'-x,-y,-z'
loop_
_atom_site_label
_atom_site_type_symbol
_atom_site_fract_x
_atom_site_fract_y
_atom_site_fract_z
Tb1 Tb 0.000 0.000 0.000
Tb2 Tb 0.168 0.249 0.332
Y1 Y 0.167 0.751 0.333
Y2 Y 0.332 0.501 0.668
Tm1 Tm 0.000 0.500 0.000
Tm2 Tm 0.334 0.000 0.668
Tm3 Tm 0.499 0.249 0.001
```



(4)
Diffraction record for Tb2Y7Tm2. The powder diffractogram is theoretical, not measured: it uses the GGA-PBE geometry in Alexandria and copper Kα.

Peak list (12 most intense, 2θ from 10° to 80°, in order of rising 2θ)
- (1 0 1), 2θ = 19.4°, I = 11
- (1 4 1), 2θ = 29.8°, I = 31
- (1 3 2), 2θ = 32.2°, I = 100
- (2 0 0), 2θ = 32.4°, I = 34
- (1 5 0), 2θ = 32.5°, I = 15
- (0 1 3), 2θ = 33.6°, I = 10
- (0 6 0), 2θ = 33.9°, I = 13
- (2 0 4), 2θ = 56.2°, I = 16
- (3 3 2), 2θ = 57.7°, I = 19
- (1 10 1), 2θ = 61.9°, I = 12
- (2 7 3), 2θ = 63.2°, I = 12
- (1 4 5), 2θ = 64.2°, I = 10

Structure:
```
data_Tb2Y7Tm2
_chemical_formula_sum 'Tb4 Y14 Tm4'
_cell_length_a 5.522
_cell_length_b 15.868
_cell_length_c 8.126
_cell_angle_alpha 90.00
_cell_angle_beta 90.00
_cell_angle_gamma 90.00
_space_group_name_H-M_alt 'I m m 2'
_space_group_IT_number 44
loop_
_space_group_symop_operation_xyz
'x,y,z'
'-x,-y,z'
'-x,y,z'
'x,-y,z'
'x+1/2,y+1/2,z+1/2'
'-x+1/2,-y+1/2,z+1/2'
'-x+1/2,y+1/2,z+1/2'
'x+1/2,-y+1/2,z+1/2'
loop_
_atom_site_label
_atom_site_type_symbol
_atom_site_fract_x
_atom_site_fract_y
_atom_site_fract_z
Tb1 Tb 0.000 0.201 0.000
Y1 Y 0.000 0.000 0.201
Y2 Y 0.000 0.161 0.498
Y3 Y 0.000 0.361 0.708
Y4 Y 0.000 0.364 0.292
Tm1 Tm 0.000 0.000 0.786
Tm2 Tm 0.000 0.500 0.999
```



(5)
Diffraction record for Tb2Y15Tm2. The powder diffractogram is theoretical, not measured: it uses the GGA-PBE geometry in Alexandria and copper Kα.

Peak list (12 most intense, 2θ from 10° to 80°, in order of rising 2θ)
- (0 2 4), 2θ = 27.2°, I = 30
- (3 0 0), 2θ = 27.7°, I = 50
- (0 0 6), 2θ = 30.0°, I = 19
- (2 0 5), 2θ = 31.2°, I = 77
- (0 3 3), 2θ = 31.6°, I = 100
- (2 2 0), 2θ = 32.1°, I = 69
- (2 2 3), 2θ = 35.6°, I = 34
- (2 3 5), 2θ = 48.4°, I = 15
- (3 3 3), 2θ = 51.6°, I = 18
- (0 3 9), 2θ = 54.3°, I = 24
- (4 2 5), 2θ = 56.7°, I = 24
- (6 0 0), 2θ = 57.3°, I = 26

Structure:
```
data_Tb2Y15Tm2
_chemical_formula_sum 'Tb6 Y45 Tm6'
_cell_length_a 11.1445
_cell_length_b 11.1445
_cell_length_c 17.8481
_cell_angle_alpha 90.00
_cell_angle_beta 90.00
_cell_angle_gamma 120.00
_space_group_name_H-M_alt 'R -3 m'
_space_group_IT_number 166
_space_group_name_Hall '-R 3 2"'
loop_
_atom_site_label
_atom_site_type_symbol
_atom_site_fract_x
_atom_site_fract_y
_atom_site_fract_z
Tb1 Tb 0.0000 0.0000 0.0951
Y1 Y 0.0000 0.3004 0.0000
Y2 Y 0.0000 0.5000 0.5000
Y3 Y 0.0155 0.5078 0.1345
Tm1 Tm 0.0000 0.0000 0.3183
```



(6)
Diffraction record for Tb12YTm2. The powder diffractogram is theoretical, not measured: it uses the GGA-PBE geometry in Alexandria and copper Kα.

Peak list (12 most intense, 2θ from 10° to 80°, in order of rising 2θ)
- (0 1 7), 2θ = 30.3°, I = 100
- (1 1 -3), 2θ = 31.2°, I = 48
- (0 2 0), 2θ = 32.1°, I = 74
- (1 0 5), 2θ = 32.3°, I = 40
- (1 1 3), 2θ = 32.5°, I = 85
- (0 1 8), 2θ = 33.6°, I = 39
- (1 2 5), 2θ = 46.1°, I = 29
- (2 0 -1), 2θ = 51.3°, I = 20
- (1 3 3), 2θ = 57.4°, I = 19
- (1 1 13), 2θ = 60.0°, I = 18
- (2 1 6), 2θ = 60.8°, I = 20
- (2 2 -1), 2θ = 61.8°, I = 23

Structure:
```
data_Tb12YTm2
_chemical_formula_sum 'Tb12 Y1 Tm2'
_cell_length_a 3.561
_cell_length_b 5.585
_cell_length_c 24.330
_cell_angle_alpha 90.00
_cell_angle_beta 94.12
_cell_angle_gamma 90.00
_space_group_name_H-M_alt 'P 1 2/m 1'
_space_group_IT_number 10
loop_
_space_group_symop_operation_xyz
'x,y,z'
'-x,-y,-z'
'-x,y,-z'
'x,-y,z'
loop_
_atom_site_label
_atom_site_type_symbol
_atom_site_fract_x
_atom_site_fract_y
_atom_site_fract_z
Tb1 Tb 0.038 0.000 0.074
Tb2 Tb 0.225 0.000 0.444
Tb3 Tb 0.285 0.500 0.576
Tb4 Tb 0.332 0.000 0.671
Tb5 Tb 0.398 0.000 0.798
Tb6 Tb 0.428 0.500 0.862
Y1 Y 0.500 0.500 0.000
Tm1 Tm 0.138 0.500 0.271
```



(7)
Diffraction record for Tb3YTm6. The powder diffractogram is theoretical, not measured: it uses the GGA-PBE geometry in Alexandria and copper Kα.

Peak list (12 most intense, 2θ from 10° to 80°, in order of rising 2θ)
- (3 3 0), 2θ = 28.4°, I = 30
- (2 4 1), 2θ = 29.0°, I = 77
- (0 0 2), 2θ = 29.1°, I = 27
- (0 2 2), 2θ = 30.6°, I = 41
- (3 3 1), 2θ = 32.0°, I = 92
- (0 6 1), 2θ = 32.1°, I = 100
- (2 0 2), 2θ = 33.5°, I = 22
- (4 2 0), 2θ = 34.3°, I = 28
- (2 2 2), 2θ = 34.9°, I = 52
- (3 3 2), 2θ = 41.0°, I = 22
- (3 9 0), 2θ = 50.4°, I = 20
- (0 8 3), 2θ = 59.9°, I = 19

Structure:
```
data_Tb3YTm6
_chemical_formula_sum 'Tb12 Y4 Tm24'
_cell_length_a 10.909
_cell_length_b 18.779
_cell_length_c 6.144
_cell_angle_alpha 90.00
_cell_angle_beta 90.00
_cell_angle_gamma 90.00
_space_group_name_H-M_alt 'C m c 21'
_space_group_IT_number 36
loop_
_space_group_symop_operation_xyz
'x,y,z'
'-x,-y,z+1/2'
'-x,y,z'
'x,-y,z+1/2'
'x+1/2,y+1/2,z'
'-x+1/2,-y+1/2,z+1/2'
'-x+1/2,y+1/2,z'
'x+1/2,-y+1/2,z+1/2'
loop_
_atom_site_label
_atom_site_type_symbol
_atom_site_fract_x
_atom_site_fract_y
_atom_site_fract_z
Tb1 Tb 0.000 0.108 0.000
Tb2 Tb 0.172 0.391 0.392
Y1 Y 0.000 0.294 0.078
Tm1 Tm 0.000 0.217 0.573
Tm2 Tm 0.000 0.454 0.846
Tm3 Tm 0.165 0.048 0.464
Tm4 Tm 0.249 0.211 0.293
```



(8)
Diffraction record for Tb2YTm12. The powder diffractogram is theoretical, not measured: it uses the GGA-PBE geometry in Alexandria and copper Kα.

Peak list (12 most intense, 2θ from 10° to 80°, in order of rising 2θ)
- (0 0 8), 2θ = 30.2°, I = 26
- (2 2 1), 2θ = 30.5°, I = 28
- (0 2 7), 2θ = 31.0°, I = 80
- (2 2 2), 2θ = 31.4°, I = 55
- (2 2 -3), 2θ = 31.5°, I = 66
- (0 4 0), 2θ = 32.4°, I = 100
- (2 0 5), 2θ = 32.6°, I = 26
- (2 0 -6), 2θ = 32.8°, I = 34
- (0 2 8), 2θ = 34.4°, I = 81
- (2 2 -5), 2θ = 34.6°, I = 26
- (4 0 -1), 2θ = 51.5°, I = 28
- (4 4 -1), 2θ = 62.2°, I = 33

Structure:
```
data_Tb2YTm12
_chemical_formula_sum 'Tb8 Y4 Tm48'
_cell_length_a 7.095
_cell_length_b 11.055
_cell_length_c 23.737
_cell_angle_alpha 90.00
_cell_angle_beta 93.85
_cell_angle_gamma 90.00
_space_group_name_H-M_alt 'C 1 2/m 1'
_space_group_IT_number 12
loop_
_space_group_symop_operation_xyz
'x,y,z'
'-x,-y,-z'
'-x,y,-z'
'x,-y,z'
'x+1/2,y+1/2,z'
'-x+1/2,-y+1/2,-z'
'-x+1/2,y+1/2,-z'
'x+1/2,-y+1/2,z'
loop_
_atom_site_label
_atom_site_type_symbol
_atom_site_fract_x
_atom_site_fract_y
_atom_site_fract_z
Tb1 Tb 0.076 0.000 0.281
Tb2 Tb 0.076 0.500 0.282
Y1 Y 0.250 0.000 0.000
Tm1 Tm 0.016 0.251 0.067
Tm2 Tm 0.031 0.000 0.136
Tm3 Tm 0.031 0.500 0.137
Tm4 Tm 0.114 0.250 0.445
Tm5 Tm 0.141 0.000 0.576
Tm6 Tm 0.141 0.500 0.576
Tm7 Tm 0.162 0.250 0.670
Tm8 Tm 0.205 0.250 0.808
```